Bi2SeO7: theoretical powder XRD pattern (λ = 1.5418 Å (Cu Kα)), based on the PBE geometry in the Materials Project.
Kinematic intensities with the Lorentz-polarization factor, no thermal factor.

Structure:
Cell: 8.302 13.082 6.014 Å, 90.00 110.15 90.00°
Positions (direct):
1 Bi 0.045 0.134 0.100
2 Bi 0.045 0.366 0.600
3 Bi 0.286 0.623 0.991
4 Bi 0.286 0.877 0.491
5 Bi 0.714 0.123 0.509
6 Bi 0.714 0.377 0.009
7 Bi 0.955 0.634 0.400
8 Bi 0.955 0.866 0.900
9 Se 0.372 0.139 0.790
10 Se 0.372 0.361 0.290
11 Se 0.628 0.639 0.710
12 Se 0.628 0.861 0.210
13 O 0.097 0.730 0.729
14 O 0.097 0.770 0.229
15 O 0.114 0.598 0.186
16 O 0.114 0.902 0.686
17 O 0.122 0.535 0.692
18 O 0.122 0.965 0.192
19 O 0.225 0.212 0.590
20 O 0.225 0.288 0.090
21 O 0.291 0.082 0.977
22 O 0.291 0.418 0.477
23 O 0.423 0.049 0.624
24 O 0.423 0.451 0.124
25 O 0.447 0.702 0.563
26 O 0.447 0.798 0.063
27 O 0.553 0.202 0.937
28 O 0.553 0.298 0.437
29 O 0.577 0.549 0.876
30 O 0.577 0.951 0.376
31 O 0.709 0.582 0.523
32 O 0.709 0.918 0.023
33 O 0.775 0.712 0.910
34 O 0.775 0.788 0.410
35 O 0.878 0.035 0.808
36 O 0.878 0.465 0.308
37 O 0.886 0.098 0.314
38 O 0.886 0.402 0.814
39 O 0.903 0.230 0.771
40 O 0.903 0.270 0.271

Peak list (10 most intense, 2θ from 10° to 80°, by angle)
11.35°, I 168; 17.29°, I 189; 23.41°, I 181; 23.83°, I 651; 26.27°, I 1000; 27.27°, I 469; 30.50°, I 371; 30.78°, I 435; 45.99°, I 181; 47.57°, I 280